[1]
This entry pairs a crystal structure of La4Co2Sn5 with its simulated X-ray diffraction stick pattern. Radiation: Cu Kα, 1.54184 Å. Structure: a structure optimized by DFT (PBE).
Lines closer than 0.1° are merged.

Structural model:
```
11
Lattice="7.168 -2.321 0.000 7.168 2.321 0.000 -6.901 0.000 8.768" Properties=species:S:1:pos:R:3 pbc="T T T"
La -0.637 0.000 1.949
La 3.263 0.000 1.892
La 4.171 0.000 6.876
La 8.072 0.000 6.819
Co -1.165 0.000 5.617
Co 8.599 0.000 3.151
Sn -3.450 0.000 4.384
Sn 1.362 0.000 4.578
Sn -1.149 0.000 8.260
Sn 8.583 0.000 0.508
Sn 6.072 0.000 4.190
```

Peak list (8 most intense, 5° ≤ 2θ ≤ 70°, in order of rising 2θ)
30.62°, I = 100
31.20°, I = 83
32.76°, I = 60
37.09°, I = 24
37.66°, I = 40
38.79°, I = 56
56.32°, I = 27
65.48°, I = 23

=====

[2]
This entry pairs a crystal structure of K3NpO8 with its simulated X-ray diffraction stick pattern. Radiation: Cu Kα, 1.54184 Å. Structure: a structure optimized by DFT (PBE).
Lines closer than 0.1° are merged.

Structural model:
```
24
Lattice="6.833 0.000 0.000 0.000 8.822 0.000 -3.751 0.000 7.327" Properties=species:S:1:pos:R:3 pbc="T T T"
K 0.000 0.000 0.000
K -1.876 4.411 3.664
K 1.302 1.974 3.218
K -0.573 2.437 6.881
K 3.655 6.385 0.446
K 1.780 6.848 4.110
Np -1.876 0.000 3.664
Np 0.000 4.411 0.000
O -1.333 1.776 4.088
O 0.542 2.635 0.425
O -2.092 4.705 6.429
O -0.216 8.528 2.766
O 0.688 4.993 2.280
O -1.188 8.241 5.944
O 2.021 4.838 2.140
O 0.146 8.395 5.803
O 2.936 0.427 1.524
O 1.061 3.984 5.188
O 4.270 0.582 1.384
O 2.395 3.829 5.047
O 3.298 0.294 4.562
O 5.174 4.117 0.898
O 2.540 6.187 6.903
O 4.416 7.046 3.239
```

Peak list (8 most intense, 5° ≤ 2θ ≤ 70°, in order of rising 2θ)
14.56°, I = 51
15.72°, I = 100
17.30°, I = 88
20.13°, I = 39
24.29°, I = 37
24.96°, I = 97
28.34°, I = 37
29.91°, I = 42

=====

[3]
This entry pairs a crystal structure of ThAl2 with its simulated X-ray diffraction stick pattern. Radiation: Cu Kα, 1.54184 Å. Structure: a structure optimized by DFT (PBE).
Lines closer than 0.1° are merged.

Structural model:
```
6
Lattice="0.000 4.029 4.029 4.029 0.000 4.029 4.029 4.029 0.000" Properties=species:S:1:pos:R:3 pbc="T T T"
Th 1.007 1.007 1.007
Th 7.051 7.051 7.051
Al 4.029 2.015 2.015
Al 2.015 4.029 2.015
Al 2.015 2.015 4.029
Al 4.029 4.029 4.029
```

Peak list (8 most intense, 5° ≤ 2θ ≤ 70°, in order of rising 2θ)
19.08°, I = 74
31.40°, I = 100
37.00°, I = 89
49.29°, I = 20
55.90°, I = 41
59.62°, I = 30
65.53°, I = 19
68.94°, I = 15

=====

[4]
This entry pairs a crystal structure of AgBiSeS with its simulated X-ray diffraction stick pattern. Radiation: Cu Kα, 1.54184 Å. Structure: a structure optimized by DFT (PBE).
Lines closer than 0.1° are merged.

Structural model:
```
4
Lattice="4.024 0.000 0.000 0.000 4.024 0.000 0.000 0.000 5.922" Properties=species:S:1:pos:R:3 pbc="T T T"
Ag 0.000 0.000 0.000
Bi 2.012 2.012 2.961
Se 2.012 2.012 0.000
S 0.000 0.000 2.961
```

Peak list (8 most intense, 5° ≤ 2θ ≤ 70°, in order of rising 2θ)
22.09°, I = 24
26.78°, I = 67
30.18°, I = 56
31.44°, I = 100
44.14°, I = 78
45.06°, I = 37
53.19°, I = 22
55.19°, I = 40

=====

[5]
This entry pairs a crystal structure of La3As2ClO7 with its simulated X-ray diffraction stick pattern. Radiation: Cu Kα, 1.54184 Å. Structure: a structure optimized by DFT (PBE).
Lines closer than 0.1° are merged.

Structural model:
```
52
Lattice="13.096 0.000 0.000 0.000 13.096 0.000 0.000 0.000 5.645" Properties=species:S:1:pos:R:3 pbc="T T T"
La 0.679 4.760 0.000
La 1.788 7.227 2.823
La 3.025 10.070 0.000
La 3.522 3.522 2.823
La 4.760 0.679 0.000
La 5.869 11.307 2.823
La 7.227 1.788 2.823
La 8.336 12.417 0.000
La 9.573 9.573 2.823
La 10.070 3.025 0.000
La 11.307 5.869 2.823
La 12.417 8.336 0.000
As 0.261 10.364 2.823
As 2.732 12.834 2.823
As 3.816 6.286 0.000
As 6.286 3.816 0.000
As 6.809 9.280 0.000
As 9.280 6.809 0.000
As 10.364 0.261 2.823
As 12.834 2.732 2.823
Cl 2.192 2.192 0.000
Cl 4.356 8.739 2.823
Cl 8.739 4.356 2.823
Cl 10.904 10.904 0.000
O 0.000 6.548 1.411
O 0.000 6.548 4.234
O 1.114 9.474 1.477
O 1.114 9.474 4.168
O 1.164 3.804 2.823
O 2.743 7.712 0.000
O 2.926 5.434 1.345
O 2.926 5.434 4.300
O 3.622 11.982 1.477
O 3.622 11.982 4.168
O 3.804 1.164 2.823
O 5.384 10.352 0.000
O 5.434 2.926 1.345
O 5.434 2.926 4.300
O 6.548 0.000 1.411
O 6.548 0.000 4.234
O 7.662 10.169 1.345
O 7.662 10.169 4.300
O 7.712 2.743 0.000
O 9.291 11.932 2.823
O 9.474 1.114 1.477
O 9.474 1.114 4.168
O 10.169 7.662 1.345
O 10.169 7.662 4.300
O 10.352 5.384 0.000
O 11.932 9.291 2.823
O 11.982 3.622 1.477
O 11.982 3.622 4.168
```

Peak list (8 most intense, 5° ≤ 2θ ≤ 70°, in order of rising 2θ)
9.55°, I = 100
26.70°, I = 98
29.24°, I = 82
31.70°, I = 39
32.34°, I = 43
36.97°, I = 31
44.59°, I = 29
51.96°, I = 27

=====

[6]
This entry pairs a crystal structure of Ca3Al2SO8F8 with its simulated X-ray diffraction stick pattern. Radiation: Cu Kα, 1.54184 Å. Structure: a structure optimized by DFT (PBE).
Lines closer than 0.1° are merged.

Structural model:
```
44
Lattice="7.015 -4.324 0.000 7.015 4.324 0.000 -0.370 0.000 10.346" Properties=species:S:1:pos:R:3 pbc="T T T"
Ca 6.737 4.253 7.759
Ca 3.477 1.951 2.073
Ca 3.292 -1.951 7.246
Ca 10.367 1.951 3.100
Ca 10.182 -1.951 8.273
Ca 6.922 -4.253 2.586
Al 2.526 0.673 5.281
Al 2.711 -0.673 0.109
Al 10.949 0.673 10.237
Al 11.133 -0.673 5.064
S 6.922 1.189 2.586
S 6.737 -1.189 7.759
O 3.946 1.808 4.815
O 5.877 2.127 2.006
O 5.646 1.916 8.664
O 7.967 2.127 3.167
O 7.829 1.916 6.855
O 6.307 0.366 3.655
O 9.898 1.808 0.358
O 7.538 0.366 1.518
O 6.122 -0.366 8.828
O 3.761 -1.808 9.988
O 7.353 -0.366 6.691
O 5.831 -1.916 3.491
O 5.692 -2.127 7.179
O 8.014 -1.916 1.682
O 7.783 -2.127 8.339
O 9.713 -1.808 5.531
F 1.861 0.854 3.580
F 0.947 0.302 5.919
F 1.132 -0.302 0.746
F 2.960 0.942 10.091
F 3.259 0.419 6.988
F 1.676 -0.854 8.752
F 3.444 -0.419 1.815
F 3.145 -0.942 4.919
F 10.514 0.942 5.427
F 10.216 0.419 8.531
F 11.983 0.854 1.593
F 10.401 -0.419 3.358
F 10.699 -0.942 0.254
F 12.527 0.302 9.599
F 12.712 -0.302 4.427
F 11.798 -0.854 6.766
```

Peak list (8 most intense, 5° ≤ 2θ ≤ 70°, in order of rising 2θ)
12.02°, I = 76
12.63°, I = 73
17.14°, I = 47
21.67°, I = 100
25.41°, I = 94
28.37°, I = 48
31.33°, I = 36
41.17°, I = 36

=====

[7]
This entry pairs a crystal structure of Mn6Si7 with its simulated X-ray diffraction stick pattern. Radiation: Cu Kα, 1.54184 Å. Structure: a structure optimized by DFT (PBE).
Lines closer than 0.1° are merged.

Structural model:
```
13
Lattice="2.425 1.400 7.929 -2.425 1.400 7.929 0.000 -2.800 7.929" Properties=species:S:1:pos:R:3 pbc="T T T"
Mn 0.000 0.000 1.171
Mn 0.000 0.000 3.859
Mn 0.000 0.000 7.958
Mn 0.000 0.000 15.828
Mn 0.000 0.000 19.928
Mn 0.000 0.000 22.615
Si -1.230 -0.710 9.906
Si 0.000 -1.421 13.880
Si -1.230 0.710 13.880
Si 0.000 0.000 11.893
Si 1.230 -0.710 9.906
Si 0.000 1.421 9.906
Si 1.230 0.710 13.880
```

Peak list (8 most intense, 5° ≤ 2θ ≤ 70°, in order of rising 2θ)
37.07°, I = 77
43.25°, I = 24
43.75°, I = 100
45.79°, I = 21
47.29°, I = 26
51.12°, I = 23
53.41°, I = 12
66.81°, I = 14